(1)
# Pa2Ni5As4
Simulated X-ray powder pattern, Cu Kα X-rays. Input: a GGA-PBE-relaxed structure.
Intensities are scaled so that the largest is 100.

Largest 8 diffraction maxima, low angle first, 2θ from 10° to 90°:
2θ/deg	I_rel
27.0	37
31.9	29
33.1	16
33.7	34
38.4	100
42.3	43
57.3	18
62.7	16

Cell: 8.4222 7.4911 5.4249 Å, 79.64 61.04 39.32°
Sites, in units of the cell vectors:
Pa 0.1426 0.1426 0.8574
Pa 0.8574 0.8574 0.1426
Ni 0.0000 0.0000 0.5000
Ni 0.2500 0.2500 0.2500
Ni 0.5000 0.5000 0.0000
Ni 0.5000 0.5000 0.5000
Ni 0.7500 0.7500 0.7500
As 0.2166 0.5202 0.4798
As 0.4798 0.7834 0.2166
As 0.5202 0.2166 0.7834
As 0.7834 0.4798 0.5202

***

(2)
# TbTm4Al4
Simulated X-ray powder pattern, Cu Kα X-rays. Input: a GGA-PBE-relaxed structure.
Intensities are scaled so that the largest is 100.

Largest 8 diffraction maxima, low angle first, 2θ from 10° to 90°:
2θ/deg	I_rel
18.8	55
27.5	92
31.7	100
32.6	34
33.7	72
34.2	90
35.7	34
39.9	89

Cell: 8.9182 8.9182 5.5728 Å, 90.00 90.00 90.00°
Sites, in units of the cell vectors:
Tb 0.2500 0.2500 0.2500
Tb 0.7500 0.7500 0.7500
Tm 0.0905 0.8258 0.6578
Tm 0.1742 0.5905 0.1578
Tm 0.3258 0.9095 0.1578
Tm 0.4095 0.6742 0.6578
Tm 0.5905 0.3258 0.3422
Tm 0.6742 0.0905 0.8422
Tm 0.8258 0.4095 0.8422
Tm 0.9095 0.1742 0.3422
Al 0.0554 0.1562 0.8298
Al 0.1562 0.4446 0.6702
Al 0.3438 0.0554 0.6702
Al 0.4446 0.3438 0.8298
Al 0.5554 0.6562 0.1702
Al 0.6562 0.9446 0.3298
Al 0.8438 0.5554 0.3298
Al 0.9446 0.8438 0.1702

***

(3)
# La4GaTe3
Simulated X-ray powder pattern, Cu Kα X-rays. Input: a GGA-PBE-relaxed structure.
Intensities are scaled so that the largest is 100.

Largest 8 diffraction maxima, low angle first, 2θ from 10° to 90°:
2θ/deg	I_rel
27.6	100
39.4	38
39.6	38
48.8	20
57.0	12
64.4	17
64.7	17
71.4	10

Cell: 7.9254 9.1540 7.8771 Å, 90.00 109.52 90.00°
Sites, in units of the cell vectors:
La 0.2352 0.1168 0.0008
La 0.2352 0.8832 0.5008
La 0.2401 0.3633 0.4890
La 0.2401 0.6367 0.9890
La 0.7599 0.3633 0.0110
La 0.7599 0.6367 0.5110
La 0.7648 0.1168 0.4992
La 0.7648 0.8832 0.9992
Ga 0.0000 0.1274 0.2500
Ga 0.0000 0.8726 0.7500
Te 0.0000 0.3759 0.7500
Te 0.0000 0.6241 0.2500
Te 0.5000 0.1261 0.7500
Te 0.5000 0.3774 0.2500
Te 0.5000 0.6226 0.7500
Te 0.5000 0.8739 0.2500

***

(4)
# Ce3O2
Simulated X-ray powder pattern, Cu Kα X-rays. Input: a GGA-PBE-relaxed structure.
Intensities are scaled so that the largest is 100.

Largest 8 diffraction maxima, low angle first, 2θ from 10° to 90°:
2θ/deg	I_rel
29.2	16
31.0	22
33.1	100
43.1	21
51.7	22
56.5	22
61.5	20
62.8	16

Cell: 6.7638 6.7638 6.7638 Å, 53.86 53.86 53.86°
Sites, in units of the cell vectors:
Ce 0.0818 0.7500 0.4182
Ce 0.2500 0.5818 0.9182
Ce 0.4182 0.0818 0.7500
Ce 0.5818 0.9182 0.2500
Ce 0.7500 0.4182 0.0818
Ce 0.9182 0.2500 0.5818
O 0.1634 0.1634 0.1634
O 0.3366 0.3366 0.3366
O 0.6634 0.6634 0.6634
O 0.8366 0.8366 0.8366

***

(5)
# NdPuS4
Simulated X-ray powder pattern, Cu Kα X-rays. Input: a GGA-PBE-relaxed structure.
Intensities are scaled so that the largest is 100.

Largest 8 diffraction maxima, low angle first, 2θ from 10° to 90°:
2θ/deg	I_rel
19.6	70
19.9	62
25.5	100
28.1	27
38.2	58
38.5	50
48.2	51
64.6	20

Cell: 6.3595 6.3595 4.1697 Å, 90.00 90.00 90.78°
Sites, in units of the cell vectors:
Nd 0.0000 0.0000 0.0000
Pu 0.5000 0.5000 0.5000
S 0.2091 0.2091 0.5000
S 0.3180 0.6820 0.0000
S 0.6820 0.3180 0.0000
S 0.7909 0.7909 0.5000

***

(6)
# KNp4Cu3Se12
Simulated X-ray powder pattern, Cu Kα X-rays. Input: a GGA-PBE-relaxed structure.
Intensities are scaled so that the largest is 100.

Largest 8 diffraction maxima, low angle first, 2θ from 10° to 90°:
2θ/deg	I_rel
17.4	62
24.7	93
27.7	38
35.2	36
39.5	55
43.5	100
57.2	29
79.8	38

Cell: 8.8273 8.8273 8.8273 Å, 109.47 109.47 109.47°
Sites, in units of the cell vectors:
K 0.0000 0.0000 0.0000
Np 0.0000 0.0000 0.5000
Np 0.0000 0.5000 0.0000
Np 0.5000 0.0000 0.0000
Np 0.5000 0.5000 0.5000
Cu 0.0000 0.5000 0.5000
Cu 0.5000 0.0000 0.5000
Cu 0.5000 0.5000 0.0000
Se 0.1550 0.8340 0.3210
Se 0.1660 0.3210 0.4870
Se 0.1660 0.6790 0.8450
Se 0.3210 0.1550 0.8340
Se 0.3210 0.4870 0.1660
Se 0.4870 0.1660 0.3210
Se 0.5130 0.8340 0.6790
Se 0.6790 0.5130 0.8340
Se 0.6790 0.8450 0.1660
Se 0.8340 0.3210 0.1550
Se 0.8340 0.6790 0.5130
Se 0.8450 0.1660 0.6790

***

(7)
# TlTe3P3
Simulated X-ray powder pattern, Cu Kα X-rays. Input: a GGA-PBE-relaxed structure.
Intensities are scaled so that the largest is 100.

Largest 8 diffraction maxima, low angle first, 2θ from 10° to 90°:
2θ/deg	I_rel
24.0	26
27.3	100
31.8	47
32.9	30
33.1	24
36.8	59
42.4	28
49.3	22

Cell: 11.3294 3.2402 11.3332 Å, 90.00 119.96 90.00°
Sites, in units of the cell vectors:
Tl 0.1658 0.2500 0.3331
Tl 0.8342 0.7500 0.6669
Te 0.1196 0.2500 0.9738
Te 0.1457 0.7500 0.6198
Te 0.4734 0.7500 0.3540
Te 0.5266 0.2500 0.6460
Te 0.8543 0.2500 0.3802
Te 0.8804 0.7500 0.0262
P 0.3311 0.7500 0.9853
P 0.3459 0.2500 0.8312
P 0.4852 0.2500 0.1543
P 0.5148 0.7500 0.8457
P 0.6541 0.7500 0.1688
P 0.6689 0.2500 0.0147

***

(8)
# Sm4Ga16Ni3
Simulated X-ray powder pattern, Cu Kα X-rays. Input: a GGA-PBE-relaxed structure.
Intensities are scaled so that the largest is 100.

Largest 8 diffraction maxima, low angle first, 2θ from 10° to 90°:
2θ/deg	I_rel
31.7	25
33.3	53
38.0	100
40.4	27
41.6	74
59.4	32
60.3	23
73.5	24

Cell: 6.1437 6.1437 11.1538 Å, 90.00 90.00 90.00°
Sites, in units of the cell vectors:
Sm 0.0000 0.5000 0.1937
Sm 0.0000 0.5000 0.8063
Sm 0.5000 0.0000 0.1937
Sm 0.5000 0.0000 0.8063
Ga 0.0000 0.0000 0.1984
Ga 0.0000 0.0000 0.8016
Ga 0.2173 0.2173 0.0000
Ga 0.2173 0.7827 0.0000
Ga 0.2459 0.2459 0.3832
Ga 0.2459 0.2459 0.6168
Ga 0.2459 0.7541 0.3832
Ga 0.2459 0.7541 0.6168
Ga 0.5000 0.5000 0.2260
Ga 0.5000 0.5000 0.7740
Ga 0.7541 0.2459 0.3832
Ga 0.7541 0.2459 0.6168
Ga 0.7541 0.7541 0.3832
Ga 0.7541 0.7541 0.6168
Ga 0.7827 0.2173 0.0000
Ga 0.7827 0.7827 0.0000
Ni 0.0000 0.5000 0.5000
Ni 0.5000 0.0000 0.5000
Ni 0.5000 0.5000 0.0000

***

(9)
# Ru3Br2
Simulated X-ray powder pattern, Cu Kα X-rays. Input: a GGA-PBE-relaxed structure.
Intensities are scaled so that the largest is 100.

Largest 8 diffraction maxima, low angle first, 2θ from 10° to 90°:
2θ/deg	I_rel
24.2	14
29.4	47
41.6	99
42.5	100
61.0	31
75.2	14
77.2	31
77.8	16

Cell: 4.2527 4.2527 5.3795 Å, 90.00 90.00 120.00°
Sites, in units of the cell vectors:
Ru 0.0000 0.0000 0.0000
Ru 0.3333 0.6667 0.3421
Ru 0.6667 0.3333 0.6579
Br 0.3333 0.6667 0.7962
Br 0.6667 0.3333 0.2038

***

(10)
# Pr4Tm4In
Simulated X-ray powder pattern, Cu Kα X-rays. Input: a GGA-PBE-relaxed structure.
Intensities are scaled so that the largest is 100.

Largest 8 diffraction maxima, low angle first, 2θ from 10° to 90°:
2θ/deg	I_rel
30.8	100
35.4	35
36.5	16
50.9	12
51.7	23
60.7	28
62.2	14
64.2	12

Cell: 8.0038 8.0038 8.0038 Å, 95.43 95.43 144.16°
Sites, in units of the cell vectors:
Pr 0.1619 0.1619 0.3239
Pr 0.1619 0.8381 0.0000
Pr 0.8381 0.1619 0.0000
Pr 0.8381 0.8381 0.6761
Tm 0.1623 0.5000 0.6623
Tm 0.5000 0.1623 0.6623
Tm 0.5000 0.8377 0.3377
Tm 0.8377 0.5000 0.3377
In 0.5000 0.5000 0.0000